Structure and theoretical X-ray powder pattern of CsCa2Ag (a structure optimized by DFT (GGA-PBE); copper Kα).
Peak positions follow from Bragg's law for the DFT cell and can differ from measured ones.

Top 10 peaks for 2θ from 10° to 80°, in order of rising 2θ:
d (Å)	Position (°2θ)	Rel. int.
5.890	15.04	80
3.698	24.07	100
3.476	25.62	34
2.873	31.13	88
2.582	34.74	46
2.183	41.36	40
2.047	44.25	31
1.907	47.68	28
1.738	52.66	19
1.460	63.75	17

Structure:
```
4
Lattice="2.183 1.260 11.781 -2.183 1.260 11.781 0.000 -2.521 11.781" Properties=species:S:1:pos:R:3 pbc="T T T"
Cs 0.000 0.000 0.000
Ca 0.000 0.000 4.214
Ca 0.000 0.000 31.127
Ag 0.000 0.000 17.671
```

---

Structure and theoretical X-ray powder pattern of CsCaAgI4 (a structure optimized by DFT (GGA-PBE); copper Kα).
Peak positions follow from Bragg's law for the DFT cell and can differ from measured ones.

Top 10 peaks for 2θ from 10° to 80°, in order of rising 2θ:
d (Å)	Position (°2θ)	Rel. int.
4.151	21.41	21
3.755	23.69	22
3.572	24.93	100
3.507	25.39	32
3.242	27.51	46
3.207	27.82	57
3.175	28.10	26
2.433	36.94	27
2.166	41.71	23
2.075	43.61	22

Structure:
```
14
Lattice="7.511 0.000 0.000 0.000 8.301 0.000 -3.648 0.000 9.862" Properties=species:S:1:pos:R:3 pbc="T T T"
Cs -0.276 2.075 4.519
Cs 4.140 6.226 5.343
Ca 2.344 6.226 0.551
Ca 1.519 2.075 9.311
Ag -2.141 2.075 8.198
Ag 6.005 6.226 1.664
I 0.358 2.075 0.899
I 0.716 6.226 3.422
I -0.319 4.260 7.872
I -0.319 8.192 7.872
I 4.183 0.109 1.991
I 4.183 4.041 1.991
I 3.148 2.075 6.441
I 3.506 6.226 8.963
```

---

Structure and theoretical X-ray powder pattern of CaCu10Ag (a structure optimized by DFT (GGA-PBE); copper Kα).
Peak positions follow from Bragg's law for the DFT cell and can differ from measured ones.

Top 10 peaks for 2θ from 10° to 80°, in order of rising 2θ:
d (Å)	Position (°2θ)	Rel. int.
8.676	10.20	22
2.960	30.19	21
2.493	36.03	21
2.169	41.64	18
2.139	42.26	29
2.130	42.44	100
2.108	42.89	50
2.051	44.16	53
1.896	47.98	37
1.347	69.85	20

Structure:
```
12
Lattice="4.102 0.000 0.000 0.000 4.916 0.000 0.000 0.000 8.676" Properties=species:S:1:pos:R:3 pbc="T T T"
Ca 0.000 0.000 0.000
Cu 0.000 0.000 2.978
Cu 0.000 0.000 5.698
Cu 0.000 2.458 1.590
Cu 0.000 2.458 7.086
Cu 2.051 0.000 4.338
Cu 2.051 1.229 2.204
Cu 2.051 1.229 6.472
Cu 2.051 2.458 0.000
Cu 2.051 3.687 2.204
Cu 2.051 3.687 6.472
Ag 0.000 2.458 4.338
```

---

Structure and theoretical X-ray powder pattern of Ca2In6CuAg (a structure optimized by DFT (GGA-PBE); copper Kα).
Peak positions follow from Bragg's law for the DFT cell and can differ from measured ones.

Top 10 peaks for 2θ from 10° to 80°, in order of rising 2θ:
d (Å)	Position (°2θ)	Rel. int.
6.050	14.64	20
4.718	18.81	51
3.073	29.05	31
2.832	31.59	55
2.651	33.81	100
2.322	38.78	21
2.300	39.17	45
2.264	39.82	21
1.999	45.36	21
1.770	51.63	38

Structure:
```
20
Lattice="3.541 2.044 12.306 -3.541 2.044 12.306 0.000 -4.088 12.306" Properties=species:S:1:pos:R:3 pbc="T T T"
Ca 0.000 0.000 3.908
Ca 0.000 0.000 10.330
Ca 0.000 0.000 26.589
Ca 0.000 0.000 33.011
In -2.049 -1.183 17.257
In 0.000 -1.807 13.524
In -1.565 0.904 13.524
In -1.565 -0.904 23.395
In 0.000 -2.365 19.663
In -2.049 1.183 19.663
In 2.049 -1.183 17.257
In 0.000 2.365 17.257
In 1.565 0.904 13.524
In 1.565 -0.904 23.395
In 0.000 1.807 23.395
In 2.049 1.183 19.663
Cu 0.000 0.000 0.000
Cu 0.000 0.000 18.460
Ag 0.000 0.000 15.712
Ag 0.000 0.000 21.207
```

---

Structure and theoretical X-ray powder pattern of Ca2La3Cu4AgO12 (a structure optimized by DFT (GGA-PBE); copper Kα).
Peak positions follow from Bragg's law for the DFT cell and can differ from measured ones.

Top 10 peaks for 2θ from 10° to 80°, in order of rising 2θ:
d (Å)	Position (°2θ)	Rel. int.
3.289	27.11	39
2.723	32.89	100
2.700	33.18	69
2.428	37.03	13
2.245	40.18	12
2.074	43.65	15
1.909	47.62	41
1.805	50.56	12
1.563	59.09	36
1.350	69.64	12

Structure:
```
22
Lattice="5.402 0.000 0.000 0.000 2.700 9.710 0.000 -2.700 9.710" Properties=species:S:1:pos:R:3 pbc="T T T"
Ca 0.000 0.000 0.000
Ca 2.701 0.000 9.528
La 0.000 0.000 15.819
La 2.701 0.000 6.076
La 2.701 0.000 12.939
Cu 0.000 0.000 7.879
Cu 0.000 0.000 11.324
Cu 2.701 0.000 1.620
Cu 2.701 0.000 17.632
Ag 0.000 0.000 3.525
O 0.000 0.000 5.761
O 0.000 0.000 13.517
O 1.354 -1.354 7.910
O 1.354 1.354 7.910
O 1.389 -1.307 11.075
O 1.389 1.307 11.075
O 2.701 0.000 3.792
O 2.701 0.000 15.279
O 4.012 -1.307 11.075
O 4.012 1.307 11.075
O 4.047 -1.354 7.910
O 4.047 1.354 7.910
```

---

Structure and theoretical X-ray powder pattern of Ca2CuAg2Pd5 (a structure optimized by DFT (GGA-PBE); copper Kα).
Peak positions follow from Bragg's law for the DFT cell and can differ from measured ones.

Top 10 peaks for 2θ from 10° to 80°, in order of rising 2θ:
d (Å)	Position (°2θ)	Rel. int.
4.367	20.34	32
2.600	34.50	16
2.433	36.94	100
2.368	37.99	20
2.302	39.14	21
2.234	40.37	37
2.077	43.58	20
2.031	44.60	12
1.976	45.93	25
1.212	79.04	14

Structure:
```
20
Lattice="9.765 0.000 0.000 0.000 9.765 0.000 0.000 0.000 3.952" Properties=species:S:1:pos:R:3 pbc="T T T"
Ca 1.675 3.208 0.000
Ca 3.208 8.090 0.000
Ca 6.557 1.675 0.000
Ca 8.090 6.557 0.000
Cu 0.000 0.000 0.000
Cu 4.883 4.883 0.000
Ag 1.271 6.154 0.000
Ag 3.611 1.271 0.000
Ag 6.154 8.494 0.000
Ag 8.494 3.611 0.000
Pd 0.000 4.883 1.976
Pd 0.509 7.884 1.976
Pd 1.881 0.509 1.976
Pd 3.002 5.392 1.976
Pd 4.374 3.002 1.976
Pd 4.883 0.000 1.976
Pd 5.392 6.763 1.976
Pd 6.763 4.374 1.976
Pd 7.884 9.256 1.976
Pd 9.256 1.881 1.976
```

---

Structure and theoretical X-ray powder pattern of Ca2ZnCuAg6 (a structure optimized by DFT (GGA-PBE); copper Kα).
Peak positions follow from Bragg's law for the DFT cell and can differ from measured ones.

Top 10 peaks for 2θ from 10° to 80°, in order of rising 2θ:
d (Å)	Position (°2θ)	Rel. int.
4.822	18.40	100
2.548	35.23	26
2.523	35.58	85
2.500	35.93	38
2.413	37.26	36
2.404	37.40	54
2.287	39.40	34
2.076	43.60	35
2.025	44.75	37
1.392	67.29	23

Structure:
```
10
Lattice="5.548 0.000 0.000 -2.640 6.210 0.000 -2.654 -1.274 6.095" Properties=species:S:1:pos:R:3 pbc="T T T"
Ca 0.068 1.287 1.435
Ca 0.186 3.649 4.660
Zn -2.647 2.468 3.047
Cu 2.774 0.000 0.000
Ag -1.231 0.244 4.208
Ag -2.579 2.381 5.651
Ag -1.276 4.645 1.911
Ag 1.531 0.291 4.184
Ag 2.834 2.555 0.444
Ag 1.486 4.692 1.887
```

---

Structure and theoretical X-ray powder pattern of CaZnCuAg3 (a structure optimized by DFT (GGA-PBE); copper Kα).
Peak positions follow from Bragg's law for the DFT cell and can differ from measured ones.

Top 10 peaks for 2θ from 10° to 80°, in order of rising 2θ:
d (Å)	Position (°2θ)	Rel. int.
6.445	13.74	100
4.131	21.51	25
3.017	29.61	50
2.594	34.58	45
2.565	34.98	26
2.343	38.41	49
2.241	40.24	27
2.219	40.66	52
2.180	41.41	89
2.128	42.48	46

Structure:
```
12
Lattice="3.414 -6.445 0.000 3.414 6.445 0.000 0.000 0.000 5.668" Properties=species:S:1:pos:R:3 pbc="T T T"
Ca 3.414 3.785 4.251
Ca 3.414 -3.785 1.417
Zn 3.414 0.839 4.251
Zn 3.414 -0.839 1.417
Cu 3.414 4.574 1.417
Cu 3.414 -4.574 4.251
Ag 1.381 0.000 0.000
Ag 1.381 0.000 2.834
Ag 3.414 1.940 1.417
Ag 3.414 -1.940 4.251
Ag 5.447 0.000 0.000
Ag 5.447 0.000 2.834
```

---

Structure and theoretical X-ray powder pattern of Ca3ErAg4 (a structure optimized by DFT (GGA-PBE); copper Kα).
Peak positions follow from Bragg's law for the DFT cell and can differ from measured ones.

Top 10 peaks for 2θ from 10° to 80°, in order of rising 2θ:
d (Å)	Position (°2θ)	Rel. int.
7.394	11.97	9
4.929	18.00	4
3.680	24.19	4
2.606	34.42	100
2.303	39.11	5
1.849	49.30	5
1.840	49.55	12
1.507	61.54	10
1.503	61.70	23
1.304	72.48	6

Structure:
```
8
Lattice="3.680 0.000 0.000 0.000 3.680 0.000 0.000 0.000 14.788" Properties=species:S:1:pos:R:3 pbc="T T T"
Ca 0.000 0.000 0.000
Ca 0.000 0.000 3.752
Ca 0.000 0.000 11.036
Er 0.000 0.000 7.394
Ag 1.840 1.840 1.861
Ag 1.840 1.840 5.737
Ag 1.840 1.840 9.052
Ag 1.840 1.840 12.927
```

---

Structure and theoretical X-ray powder pattern of Ca5ErAg6 (a structure optimized by DFT (GGA-PBE); copper Kα).
Peak positions follow from Bragg's law for the DFT cell and can differ from measured ones.

Top 10 peaks for 2θ from 10° to 80°, in order of rising 2θ:
d (Å)	Position (°2θ)	Rel. int.
3.697	24.07	8
2.612	34.34	100
2.600	34.50	20
1.850	49.25	7
1.847	49.35	7
1.839	49.57	7
1.510	61.41	13
1.507	61.54	13
1.505	61.63	7
1.502	61.77	7

Structure:
```
12
Lattice="5.200 0.000 0.000 0.000 7.401 0.000 -2.568 0.000 7.837" Properties=species:S:1:pos:R:3 pbc="T T T"
Ca 0.000 0.000 0.000
Ca 0.021 3.701 5.199
Ca 0.021 0.000 5.229
Ca 2.612 0.000 2.608
Ca 2.612 3.701 2.638
Er 0.000 3.701 0.000
Ag 0.013 1.895 2.503
Ag 0.013 5.506 2.503
Ag 2.600 1.994 0.000
Ag 2.600 5.407 0.000
Ag 2.620 1.895 5.334
Ag 2.620 5.506 5.334
```

---

Structure and theoretical X-ray powder pattern of Ca2ErAgO4 (a structure optimized by DFT (GGA-PBE); copper Kα).
Peak positions follow from Bragg's law for the DFT cell and can differ from measured ones.

Top 10 peaks for 2θ from 10° to 80°, in order of rising 2θ:
d (Å)	Position (°2θ)	Rel. int.
5.565	15.92	80
2.924	30.58	34
2.791	32.07	100
2.782	32.18	33
2.424	37.09	93
2.398	37.51	45
1.707	53.69	29
1.702	53.86	29
1.461	63.69	29
1.396	67.06	21

Structure:
```
8
Lattice="5.882 0.000 0.000 0.000 3.432 0.000 -1.917 0.000 5.584" Properties=species:S:1:pos:R:3 pbc="T T T"
Ca 0.000 0.000 0.000
Ca -0.958 1.716 2.792
Er 1.983 0.000 2.792
Ag 2.941 1.716 0.000
O 0.027 0.000 4.008
O 0.976 1.716 1.548
O 2.989 1.716 4.036
O 3.938 0.000 1.576
```

---

Structure and theoretical X-ray powder pattern of CaErZn2Ag5 (a structure optimized by DFT (GGA-PBE); copper Kα).
Peak positions follow from Bragg's law for the DFT cell and can differ from measured ones.

Top 10 peaks for 2θ from 10° to 80°, in order of rising 2θ:
d (Å)	Position (°2θ)	Rel. int.
3.968	22.41	9
2.593	34.59	100
2.580	34.77	19
2.401	37.46	11
2.179	41.45	44
1.665	55.18	10
1.613	57.08	12
1.541	60.05	14
1.420	65.74	9
1.324	71.19	23

Structure:
```
9
Lattice="4.357 0.000 0.000 0.000 4.357 0.000 0.000 0.000 9.604" Properties=species:S:1:pos:R:3 pbc="T T T"
Ca 0.000 0.000 0.000
Er 0.000 0.000 4.802
Zn 2.179 2.179 3.614
Zn 2.179 2.179 5.991
Ag 0.000 2.179 2.186
Ag 0.000 2.179 7.418
Ag 2.179 0.000 2.186
Ag 2.179 0.000 7.418
Ag 2.179 2.179 0.000
```